(1)
Diffraction record for TbPr3Sm6. The PXRD pattern is computed, not measured: it uses a cell relaxed with PBE and a wavelength of 1.5418 Å.
Intensities are scaled so that the largest is 100.

Atomic structure:
Cell lengths 6.7484, 6.7484, 9.2213 Å; angles 105.44, 105.44, 60.94 degrees
Sites, in units of the cell vectors:
1 Tb 0.0000 0.0000 0.0000
2 Pr 0.4236 0.4236 0.8304
3 Pr 0.5000 0.5000 0.5000
4 Pr 0.5764 0.5764 0.1696
5 Sm 0.0718 0.5534 0.1973
6 Sm 0.1258 0.1258 0.4186
7 Sm 0.4466 0.9282 0.8027
8 Sm 0.5534 0.0718 0.1973
9 Sm 0.8742 0.8742 0.5814
10 Sm 0.9282 0.4466 0.8027

Top 10 peaks for 5° ≤ 2θ ≤ 70°, sorted by position:
Position (°2θ)	Rel. int.
27.4	20
29.4	14
29.6	18
29.8	13
30.6	14
30.7	100
31.9	39
33.2	22
54.7	16
56.5	13


(2)
Diffraction record for Tb3Pr6Sm. The PXRD pattern is computed, not measured: it uses a cell relaxed with PBE and a wavelength of 1.5418 Å.
Intensities are scaled so that the largest is 100.

Atomic structure:
Cell lengths 11.8919, 11.8919, 6.5297 Å; angles 90.00, 90.00, 130.70 degrees
Sites, in units of the cell vectors:
1 Tb 0.0801 0.9199 0.5000
2 Tb 0.2062 0.4592 0.8978
3 Tb 0.4592 0.2062 0.3978
4 Tb 0.5408 0.7938 0.8978
5 Tb 0.7938 0.5408 0.3978
6 Tb 0.9199 0.0801 0.0000
7 Pr 0.0446 0.6074 0.7314
8 Pr 0.1190 0.2394 0.4814
9 Pr 0.2004 0.7996 0.2118
10 Pr 0.2394 0.1190 0.9814
11 Pr 0.3926 0.9554 0.7314
12 Pr 0.4853 0.5147 0.2106
13 Pr 0.5147 0.4853 0.7106
14 Pr 0.6074 0.0446 0.2314
15 Pr 0.7606 0.8810 0.4814
16 Pr 0.7996 0.2004 0.7118
17 Pr 0.8810 0.7606 0.9814
18 Pr 0.9554 0.3926 0.2314
19 Sm 0.3444 0.6556 0.4233
20 Sm 0.6556 0.3444 0.9233

Top 10 peaks for 5° ≤ 2θ ≤ 70°, sorted by position:
Position (°2θ)	Rel. int.
28.0	58
28.3	30
28.6	24
30.3	63
30.6	100
31.4	56
32.0	43
32.8	62
33.7	28
55.0	37


(3)
Diffraction record for Tb4Pr3Sm5. The PXRD pattern is computed, not measured: it uses a cell relaxed with PBE and a wavelength of 1.5418 Å.
Intensities are scaled so that the largest is 100.

Atomic structure:
Cell lengths 6.2857, 7.2479, 8.8867 Å; angles 90.03, 90.10, 90.09 degrees
Sites, in units of the cell vectors:
1 Tb 0.1662 0.9998 0.1661
2 Tb 0.3320 0.2482 0.8341
3 Tb 0.6680 0.7518 0.1659
4 Tb 0.8338 0.0002 0.8339
5 Pr 0.3338 0.7517 0.8349
6 Pr 0.5000 0.5000 0.5000
7 Pr 0.6662 0.2483 0.1651
8 Sm 0.0013 0.2480 0.5003
9 Sm 0.1658 0.5002 0.1659
10 Sm 0.5000 0.0000 0.5000
11 Sm 0.8342 0.4998 0.8341
12 Sm 0.9987 0.7520 0.4997

Top 7 peaks for 5° ≤ 2θ ≤ 70°, sorted by position:
Position (°2θ)	Rel. int.
30.2	100
35.0	51
50.3	36
59.8	25
59.9	18
62.7	9
62.8	3


(4)
Diffraction record for Tb4Pr8Sm. The PXRD pattern is computed, not measured: it uses a cell relaxed with PBE and a wavelength of 1.5418 Å.
Intensities are scaled so that the largest is 100.

Atomic structure:
Cell lengths 7.3953, 7.3953, 10.5656 Å; angles 110.54, 110.54, 59.97 degrees
Sites, in units of the cell vectors:
1 Tb 0.0000 0.0000 0.0000
2 Tb 0.0000 0.5000 0.0000
3 Tb 0.5000 0.0000 0.0000
4 Tb 0.5000 0.5000 0.0000
5 Pr 0.2029 0.7521 0.7061
6 Pr 0.2140 0.2140 0.6413
7 Pr 0.2481 0.2481 0.2940
8 Pr 0.2479 0.7971 0.2939
9 Pr 0.7521 0.2029 0.7061
10 Pr 0.7519 0.7519 0.7060
11 Pr 0.7860 0.7860 0.3587
12 Pr 0.7971 0.2479 0.2939
13 Sm 0.5000 0.5000 0.5000

Top 10 peaks for 5° ≤ 2θ ≤ 70°, sorted by position:
Position (°2θ)	Rel. int.
27.7	25
28.0	15
30.5	100
31.9	34
37.3	9
37.5	32
49.3	28
49.8	14
57.5	18
59.1	13


(5)
Diffraction record for Tb16Pr6Sm7. The PXRD pattern is computed, not measured: it uses a cell relaxed with PBE and a wavelength of 1.5418 Å.
Intensities are scaled so that the largest is 100.

Atomic structure:
Cell lengths 11.2929, 11.2929, 11.2929 Å; angles 60.00, 60.00, 60.00 degrees
Sites, in units of the cell vectors:
1 Tb 0.0467 0.6511 0.6511
2 Tb 0.1283 0.1283 0.1283
3 Tb 0.1283 0.1283 0.6150
4 Tb 0.1283 0.6150 0.1283
5 Tb 0.3489 0.3489 0.3489
6 Tb 0.3489 0.3489 0.9533
7 Tb 0.3489 0.9533 0.3489
8 Tb 0.3850 0.8717 0.8717
9 Tb 0.6150 0.1283 0.1283
10 Tb 0.6511 0.0467 0.6511
11 Tb 0.6511 0.6511 0.0467
12 Tb 0.6511 0.6511 0.6511
13 Tb 0.8717 0.3850 0.8717
14 Tb 0.8717 0.8717 0.3850
15 Tb 0.8717 0.8717 0.8717
16 Tb 0.9533 0.3489 0.3489
17 Pr 0.2683 0.2683 0.7317
18 Pr 0.2683 0.7317 0.2683
19 Pr 0.2683 0.7317 0.7317
20 Pr 0.7317 0.2683 0.2683
21 Pr 0.7317 0.2683 0.7317
22 Pr 0.7317 0.7317 0.2683
23 Sm 0.0000 0.0000 0.0000
24 Sm 0.0000 0.0000 0.5000
25 Sm 0.0000 0.5000 0.0000
26 Sm 0.0000 0.5000 0.5000
27 Sm 0.5000 0.0000 0.0000
28 Sm 0.5000 0.0000 0.5000
29 Sm 0.5000 0.5000 0.0000

Top 10 peaks for 5° ≤ 2θ ≤ 70°, sorted by position:
Position (°2θ)	Rel. int.
24.9	6
27.4	6
29.1	9
31.7	100
33.2	6
33.7	6
45.4	14
52.2	5
56.5	26
66.2	7


(6)
Diffraction record for Tb5Pr4Sm4. The PXRD pattern is computed, not measured: it uses a cell relaxed with PBE and a wavelength of 1.5418 Å.
Intensities are scaled so that the largest is 100.

Atomic structure:
Cell lengths 9.6200, 9.6200, 9.6200 Å; angles 94.05, 94.05, 149.18 degrees
Sites, in units of the cell vectors:
1 Tb 0.0000 0.0000 0.0000
2 Tb 0.3106 0.5387 0.8493
3 Tb 0.4613 0.3106 0.7719
4 Tb 0.5387 0.6894 0.2281
5 Tb 0.6894 0.4613 0.1507
6 Pr 0.0787 0.3827 0.4614
7 Pr 0.3827 0.9213 0.3041
8 Pr 0.6173 0.0787 0.6959
9 Pr 0.9213 0.6173 0.5386
10 Sm 0.1528 0.7712 0.9240
11 Sm 0.2288 0.1528 0.3816
12 Sm 0.7712 0.8472 0.6184
13 Sm 0.8472 0.2288 0.0760

Top 9 peaks for 5° ≤ 2θ ≤ 70°, sorted by position:
Position (°2θ)	Rel. int.
9.5	1
30.2	100
34.9	34
35.1	17
50.2	12
50.3	24
59.6	29
59.9	14
62.7	12


(7)
Diffraction record for TbPr2Sm9. The PXRD pattern is computed, not measured: it uses a cell relaxed with PBE and a wavelength of 1.5418 Å.
Intensities are scaled so that the largest is 100.

Atomic structure:
Cell lengths 11.4997, 11.4997, 3.5447 Å; angles 90.00, 90.00, 120.00 degrees
Sites, in units of the cell vectors:
1 Tb 0.0000 0.0000 0.0000
2 Pr 0.3333 0.6667 0.0000
3 Pr 0.6667 0.3333 0.0000
4 Sm 0.0000 0.5000 0.0000
5 Sm 0.1719 0.3437 0.5000
6 Sm 0.1719 0.8281 0.5000
7 Sm 0.3437 0.1719 0.5000
8 Sm 0.5000 0.0000 0.0000
9 Sm 0.5000 0.5000 0.0000
10 Sm 0.6563 0.8281 0.5000
11 Sm 0.8281 0.1719 0.5000
12 Sm 0.8281 0.6563 0.5000

Top 10 peaks for 5° ≤ 2θ ≤ 70°, sorted by position:
Position (°2θ)	Rel. int.
29.6	25
31.0	53
31.1	100
34.8	12
37.1	14
44.5	19
49.2	12
55.3	40
61.5	29
64.9	12


(8)
Diffraction record for Tb3Pr5Sm3. The PXRD pattern is computed, not measured: it uses a cell relaxed with PBE and a wavelength of 1.5418 Å.
Intensities are scaled so that the largest is 100.

Atomic structure:
Cell lengths 11.4332, 11.4332, 3.4764 Å; angles 90.00, 90.00, 120.00 degrees
Sites, in units of the cell vectors:
1 Tb 0.0000 0.8410 0.0000
2 Tb 0.1590 0.1590 0.0000
3 Tb 0.8410 0.0000 0.0000
4 Pr 0.0000 0.3384 0.0000
5 Pr 0.3333 0.6667 0.0000
6 Pr 0.3384 0.0000 0.0000
7 Pr 0.6616 0.6616 0.0000
8 Pr 0.6667 0.3333 0.0000
9 Sm 0.0000 0.5975 0.5000
10 Sm 0.4025 0.4025 0.5000
11 Sm 0.5975 0.0000 0.5000

Top 10 peaks for 5° ≤ 2θ ≤ 70°, sorted by position:
Position (°2θ)	Rel. int.
23.8	36
27.0	81
30.1	90
31.3	34
32.6	100
35.2	74
40.9	82
47.8	42
55.7	32
62.3	41


(9)
Diffraction record for Tb4Pr4Sm5. The PXRD pattern is computed, not measured: it uses a cell relaxed with PBE and a wavelength of 1.5418 Å.
Intensities are scaled so that the largest is 100.

Atomic structure:
Cell lengths 9.6304, 9.6304, 9.6304 Å; angles 94.06, 94.06, 149.14 degrees
Sites, in units of the cell vectors:
1 Tb 0.1538 0.2305 0.3842
2 Tb 0.2305 0.8462 0.0767
3 Tb 0.7695 0.1538 0.9233
4 Tb 0.8462 0.7695 0.6158
5 Pr 0.0780 0.6177 0.6957
6 Pr 0.3823 0.0780 0.4602
7 Pr 0.6177 0.9220 0.5397
8 Pr 0.9220 0.3823 0.3043
9 Sm 0.0000 0.0000 0.0000
10 Sm 0.3096 0.4603 0.7699
11 Sm 0.4603 0.6904 0.1508
12 Sm 0.5397 0.3096 0.8492
13 Sm 0.6904 0.5397 0.2301

Top 8 peaks for 5° ≤ 2θ ≤ 70°, sorted by position:
Position (°2θ)	Rel. int.
30.1	100
34.8	34
35.0	17
50.1	12
50.2	24
59.6	29
59.8	14
62.6	12


(10)
Diffraction record for TbPr7Sm3. The PXRD pattern is computed, not measured: it uses a cell relaxed with PBE and a wavelength of 1.5418 Å.
Intensities are scaled so that the largest is 100.

Atomic structure:
Cell lengths 10.4132, 10.4132, 12.7492 Å; angles 114.21, 114.21, 41.02 degrees
Sites, in units of the cell vectors:
1 Tb 0.0000 0.0000 0.0000
2 Tb 0.0000 0.0000 0.5000
3 Pr 0.0798 0.5843 0.4706
4 Pr 0.0800 0.5865 0.9718
5 Pr 0.2133 0.7867 0.7500
6 Pr 0.3375 0.3471 0.2255
7 Pr 0.3471 0.3375 0.7255
8 Pr 0.4135 0.9200 0.5282
9 Pr 0.4157 0.9202 0.0294
10 Pr 0.5843 0.0798 0.9706
11 Pr 0.5865 0.0800 0.4718
12 Pr 0.6529 0.6625 0.2745
13 Pr 0.6625 0.6529 0.7745
14 Pr 0.7867 0.2133 0.2500
15 Pr 0.9200 0.4135 0.0282
16 Pr 0.9202 0.4157 0.5294
17 Sm 0.1684 0.1702 0.2742
18 Sm 0.1702 0.1684 0.7742
19 Sm 0.5000 0.5000 0.0000
20 Sm 0.5000 0.5000 0.5000
21 Sm 0.8298 0.8316 0.2258
22 Sm 0.8316 0.8298 0.7258

Top 10 peaks for 5° ≤ 2θ ≤ 70°, sorted by position:
Position (°2θ)	Rel. int.
28.4	30
29.0	30
30.6	79
31.2	53
31.3	100
32.8	45
33.0	83
49.7	39
59.4	23
59.7	29


(11)
Diffraction record for Tb2Pr3Sm5. The PXRD pattern is computed, not measured: it uses a cell relaxed with PBE and a wavelength of 1.5418 Å.
Intensities are scaled so that the largest is 100.

Atomic structure:
Cell lengths 9.5680, 9.5680, 9.7488 Å; angles 108.60, 108.60, 110.20 degrees
Sites, in units of the cell vectors:
1 Tb 0.0349 0.2760 0.0473
2 Tb 0.2760 0.0349 0.5473
3 Tb 0.7240 0.9651 0.4527
4 Tb 0.9651 0.7240 0.9527
5 Pr 0.2304 0.4811 0.4501
6 Pr 0.2691 0.7309 0.2500
7 Pr 0.4811 0.2304 0.9501
8 Pr 0.5189 0.7696 0.0499
9 Pr 0.7309 0.2691 0.7500
10 Pr 0.7696 0.5189 0.5499
11 Sm 0.0293 0.9707 0.7500
12 Sm 0.1146 0.3531 0.7219
13 Sm 0.2277 0.7723 0.7500
14 Sm 0.3531 0.1146 0.2219
15 Sm 0.4777 0.5223 0.2500
16 Sm 0.5223 0.4777 0.7500
17 Sm 0.6469 0.8854 0.7781
18 Sm 0.7723 0.2277 0.2500
19 Sm 0.8854 0.6469 0.2781
20 Sm 0.9707 0.0293 0.2500

Top 10 peaks for 5° ≤ 2θ ≤ 70°, sorted by position:
Position (°2θ)	Rel. int.
29.7	96
29.8	97
30.1	100
30.1	96
31.8	45
32.7	93
46.3	35
48.5	39
56.7	42
66.1	39


(12)
Diffraction record for Tb3Pr8Sm3. The PXRD pattern is computed, not measured: it uses a cell relaxed with PBE and a wavelength of 1.5418 Å.
Intensities are scaled so that the largest is 100.

Atomic structure:
Cell lengths 9.9225, 9.9225, 9.9225 Å; angles 146.30, 112.67, 77.45 degrees
Sites, in units of the cell vectors:
1 Tb 0.0000 0.0000 0.0000
2 Tb 0.1810 0.6810 0.5000
3 Tb 0.8190 0.3190 0.5000
4 Pr 0.1178 0.2751 0.8427
5 Pr 0.2326 0.8958 0.3368
6 Pr 0.4325 0.2751 0.1573
7 Pr 0.4410 0.1042 0.3368
8 Pr 0.5590 0.8958 0.6632
9 Pr 0.5675 0.7249 0.8427
10 Pr 0.7674 0.1042 0.6632
11 Pr 0.8822 0.7249 0.1573
12 Sm 0.1951 0.5000 0.6951
13 Sm 0.5000 0.5000 0.0000
14 Sm 0.8049 0.5000 0.3049

Top 10 peaks for 5° ≤ 2θ ≤ 70°, sorted by position:
Position (°2θ)	Rel. int.
28.3	12
29.0	24
29.9	22
31.1	100
32.8	32
43.7	16
49.7	7
55.4	13
59.8	11
60.9	11